Entry 1:
This entry pairs a crystal structure of Sr3Cd2O5 with its simulated X-ray diffraction stick pattern. Radiation: CuKα. Structure: a DFT-relaxed cell (GGA-PBE, OQMD).

Structure:
Cell: 10.9161 10.9161 3.2676 Å, 90.00 90.00 156.69°
Fractional coordinates of all 10 atoms:
Sr1 0.0000 0.0000 0.0000
Sr2 0.1942 0.8058 0.0000
Sr3 0.8058 0.1942 0.0000
Cd1 0.3982 0.6018 0.5000
Cd2 0.6018 0.3982 0.5000
O1 0.0994 0.9006 0.5000
O2 0.2961 0.7039 0.5000
O3 0.5000 0.5000 0.5000
O4 0.7039 0.2961 0.5000
O5 0.9006 0.0994 0.5000

The 10 most intense peaks (2θ = 5–70°), by angle:
2θ 29.09, rel. 100
2θ 32.10, rel. 44
2θ 34.42, rel. 86
2θ 37.34, rel. 40
2θ 40.93, rel. 40
2θ 42.27, rel. 34
2θ 56.59, rel. 23
2θ 59.14, rel. 21
2θ 60.30, rel. 22
2θ 64.62, rel. 22

Entry 2:
This entry pairs a crystal structure of SrCdTeO with its simulated X-ray diffraction stick pattern. Radiation: CuKα. Structure: a DFT-relaxed cell (GGA-PBE, OQMD).

Structure:
Cell: 6.9439 7.1452 8.0247 Å, 90.00 90.00 90.00°
Fractional coordinates of all 16 atoms:
Sr1 0.1519 0.0548 0.2660
Sr2 0.3481 0.9452 0.7660
Sr3 0.6519 0.4452 0.7340
Sr4 0.8481 0.5548 0.2340
Cd1 0.1914 0.3925 0.5685
Cd2 0.3086 0.6075 0.0685
Cd3 0.6914 0.1075 0.4315
Cd4 0.8086 0.8925 0.9315
Te1 0.0790 0.3322 0.9042
Te2 0.4210 0.6678 0.4042
Te3 0.5790 0.1678 0.0958
Te4 0.9210 0.8322 0.5958
O1 0.0400 0.8027 0.1003
O2 0.4600 0.1973 0.6003
O3 0.5400 0.6973 0.8997
O4 0.9600 0.3027 0.3997

The 10 most intense peaks (2θ = 5–70°), by angle:
2θ 27.33, rel. 37
2θ 28.09, rel. 18
2θ 28.57, rel. 100
2θ 30.72, rel. 56
2θ 36.02, rel. 43
2θ 36.46, rel. 13
2θ 38.19, rel. 26
2θ 48.20, rel. 14
2θ 52.29, rel. 18
2θ 54.05, rel. 17

Entry 3:
This entry pairs a crystal structure of SrCdTeO with its simulated X-ray diffraction stick pattern. Radiation: CuKα. Structure: a DFT-relaxed cell (GGA-PBE, OQMD).

Structure:
Cell: 7.6292 7.6292 6.6907 Å, 90.00 90.00 147.12°
Fractional coordinates of all 8 atoms:
Sr1 0.1545 0.8455 0.5000
Sr2 0.8455 0.1545 0.0000
Cd1 0.4520 0.5480 0.6422
Cd2 0.5480 0.4520 0.1422
Te1 0.1577 0.8423 0.9935
Te2 0.8423 0.1577 0.4935
O1 0.4218 0.5782 0.9683
O2 0.5782 0.4218 0.4683

The 10 most intense peaks (2θ = 5–70°), by angle:
2θ 17.96, rel. 20
2θ 26.65, rel. 35
2θ 27.59, rel. 100
2θ 29.36, rel. 19
2θ 34.46, rel. 39
2θ 36.39, rel. 18
2θ 38.73, rel. 42
2θ 39.56, rel. 16
2θ 41.83, rel. 24
2θ 48.37, rel. 16

Entry 4:
This entry pairs a crystal structure of SrCdTeO with its simulated X-ray diffraction stick pattern. Radiation: CuKα. Structure: a DFT-relaxed cell (GGA-PBE, OQMD).

Structure:
Cell: 6.6946 4.3223 14.6864 Å, 90.00 90.00 90.00°
Fractional coordinates of all 16 atoms:
Sr1 0.2415 0.2500 0.0954
Sr2 0.2585 0.7500 0.5954
Sr3 0.7415 0.2500 0.4046
Sr4 0.7585 0.7500 0.9046
Cd1 0.1170 0.2500 0.7981
Cd2 0.3830 0.7500 0.2981
Cd3 0.6170 0.2500 0.7019
Cd4 0.8830 0.7500 0.2019
Te1 0.2365 0.2500 0.4080
Te2 0.2635 0.7500 0.9080
Te3 0.7365 0.2500 0.0920
Te4 0.7635 0.7500 0.5920
O1 0.2097 0.7500 0.1723
O2 0.2903 0.2500 0.6723
O3 0.7097 0.7500 0.3277
O4 0.7903 0.2500 0.8277

The 10 most intense peaks (2θ = 5–70°), by angle:
2θ 17.93, rel. 13
2θ 26.63, rel. 32
2θ 27.36, rel. 18
2θ 27.53, rel. 100
2θ 33.87, rel. 14
2θ 34.43, rel. 18
2θ 36.32, rel. 15
2θ 38.68, rel. 41
2θ 41.80, rel. 24
2θ 48.21, rel. 16

Entry 5:
This entry pairs a crystal structure of SrCdTeO with its simulated X-ray diffraction stick pattern. Radiation: CuKα. Structure: a DFT-relaxed cell (GGA-PBE, OQMD).

Structure:
Cell: 6.6379 7.4757 8.4759 Å, 90.00 90.00 90.00°
Fractional coordinates of all 16 atoms:
Sr1 0.0867 0.0283 0.1875
Sr2 0.4133 0.9717 0.6875
Sr3 0.5867 0.4717 0.8125
Sr4 0.9133 0.5283 0.3125
Cd1 0.0997 0.6688 0.9065
Cd2 0.4003 0.3312 0.4065
Cd3 0.5997 0.8312 0.0935
Cd4 0.9003 0.1688 0.5935
Te1 0.1032 0.2912 0.8677
Te2 0.3968 0.7088 0.3677
Te3 0.6032 0.2088 0.1323
Te4 0.8968 0.7912 0.6323
O1 0.0796 0.2510 0.3876
O2 0.4204 0.7490 0.8876
O3 0.5796 0.2490 0.6124
O4 0.9204 0.7510 0.1124

The 10 most intense peaks (2θ = 5–70°), by angle:
2θ 24.14, rel. 74
2θ 24.93, rel. 42
2θ 28.89, rel. 81
2θ 29.38, rel. 100
2θ 31.32, rel. 55
2θ 34.50, rel. 39
2θ 34.74, rel. 51
2θ 40.08, rel. 51
2θ 42.02, rel. 42
2θ 52.70, rel. 45

Entry 6:
This entry pairs a crystal structure of SrCdTeO with its simulated X-ray diffraction stick pattern. Radiation: CuKα. Structure: a DFT-relaxed cell (GGA-PBE, OQMD).

Structure:
Cell: 6.8748 8.2607 6.8262 Å, 90.00 90.00 90.00°
Fractional coordinates of all 16 atoms:
Sr1 0.2481 0.0230 0.0000
Sr2 0.2519 0.0230 0.5000
Sr3 0.7481 0.9770 0.0000
Sr4 0.7519 0.9770 0.5000
Cd1 0.0690 0.6575 0.2060
Cd2 0.4310 0.6575 0.7060
Cd3 0.5690 0.3425 0.2060
Cd4 0.9310 0.3425 0.7060
Te1 0.0077 0.6693 0.7666
Te2 0.4923 0.6693 0.2666
Te3 0.5077 0.3307 0.7666
Te4 0.9923 0.3307 0.2666
O1 0.0087 0.9174 0.2506
O2 0.4913 0.9174 0.7506
O3 0.5087 0.0826 0.2506
O4 0.9913 0.0826 0.7506

The 10 most intense peaks (2θ = 5–70°), by angle:
2θ 25.92, rel. 25
2θ 26.11, rel. 35
2θ 28.12, rel. 76
2θ 28.29, rel. 86
2θ 32.52, rel. 87
2θ 33.93, rel. 45
2θ 34.08, rel. 49
2θ 37.12, rel. 100
2θ 50.16, rel. 69
2θ 51.74, rel. 19

Entry 7:
This entry pairs a crystal structure of TaCdO3 with its simulated X-ray diffraction stick pattern. Radiation: CuKα. Structure: a DFT-relaxed cell (GGA-PBE, OQMD).

Structure:
Cell: 6.5512 6.5512 6.5512 Å, 47.99 47.99 47.99°
Fractional coordinates of all 10 atoms:
Ta1 0.1569 0.1569 0.1569
Ta2 0.8431 0.8431 0.8431
Cd1 0.3598 0.3598 0.3598
Cd2 0.6402 0.6402 0.6402
O1 0.0469 0.8159 0.4423
O2 0.1841 0.5577 0.9531
O3 0.4423 0.0469 0.8159
O4 0.5577 0.9531 0.1841
O5 0.8159 0.4423 0.0469
O6 0.9531 0.1841 0.5577

The 10 most intense peaks (2θ = 5–70°), by angle:
2θ 15.32, rel. 23
2θ 21.82, rel. 35
2θ 28.24, rel. 100
2θ 30.92, rel. 18
2θ 33.64, rel. 88
2θ 44.48, rel. 30
2θ 46.33, rel. 63
2θ 56.67, rel. 17
2θ 56.90, rel. 29
2θ 60.16, rel. 23

Entry 8:
This entry pairs a crystal structure of CdTc2O8 with its simulated X-ray diffraction stick pattern. Radiation: CuKα. Structure: a DFT-relaxed cell (GGA-PBE, OQMD).

Structure:
Cell: 6.0756 6.0756 5.4820 Å, 90.00 90.00 120.00°
Fractional coordinates of all 11 atoms:
Cd1 0.0000 0.0000 0.0000
Tc1 0.3333 0.6667 0.3280
Tc2 0.6667 0.3333 0.6720
O1 0.1762 0.3525 0.2290
O2 0.1762 0.8238 0.2290
O3 0.3333 0.6667 0.6405
O4 0.3525 0.1762 0.7710
O5 0.6475 0.8238 0.2290
O6 0.6667 0.3333 0.3595
O7 0.8238 0.1762 0.7710
O8 0.8238 0.6475 0.7710

The 10 most intense peaks (2θ = 5–70°), by angle:
2θ 23.43, rel. 100
2θ 29.40, rel. 49
2θ 36.98, rel. 20
2θ 37.93, rel. 15
2θ 47.93, rel. 16
2θ 48.71, rel. 25
2θ 57.23, rel. 10
2θ 58.99, rel. 16
2θ 61.00, rel. 10
2θ 66.28, rel. 10

Entry 9:
This entry pairs a crystal structure of CdTe2O5 with its simulated X-ray diffraction stick pattern. Radiation: CuKα. Structure: a DFT-relaxed cell (GGA-PBE, OQMD).

Structure:
Cell: 9.3796 5.5287 10.8400 Å, 90.00 114.69 90.00°
Fractional coordinates of all 32 atoms:
Cd1 0.0171 0.2054 0.1365
Cd2 0.0171 0.2946 0.6365
Cd3 0.9829 0.7054 0.3635
Cd4 0.9829 0.7946 0.8635
Te1 0.2691 0.6820 0.2289
Te2 0.2691 0.8180 0.7289
Te3 0.3508 0.1575 0.4909
Te4 0.3508 0.3425 0.9909
Te5 0.6492 0.6575 0.0091
Te6 0.6492 0.8425 0.5091
Te7 0.7309 0.1820 0.2711
Te8 0.7309 0.3180 0.7711
O1 0.1261 0.6351 0.5854
O2 0.1261 0.8649 0.0854
O3 0.1429 0.0054 0.7937
O4 0.1429 0.4946 0.2937
O5 0.2047 0.5325 0.8473
O6 0.2047 0.9675 0.3473
O7 0.2273 0.1043 0.6022
O8 0.2273 0.3957 0.1022
O9 0.4818 0.6046 0.0989
O10 0.4818 0.8954 0.5989
O11 0.5182 0.1046 0.4011
O12 0.5182 0.3954 0.9011
O13 0.7727 0.6043 0.8978
O14 0.7727 0.8957 0.3978
O15 0.7953 0.0325 0.6527
O16 0.7953 0.4675 0.1527
O17 0.8571 0.5054 0.7063
O18 0.8571 0.9946 0.2063
O19 0.8739 0.1351 0.9146
O20 0.8739 0.3649 0.4146

The 10 most intense peaks (2θ = 5–70°), by angle:
2θ 18.40, rel. 17
2θ 22.98, rel. 32
2θ 24.36, rel. 13
2θ 26.62, rel. 81
2θ 29.30, rel. 100
2θ 31.49, rel. 18
2θ 32.39, rel. 14
2θ 33.35, rel. 43
2θ 33.63, rel. 22
2θ 35.53, rel. 15

Entry 10:
This entry pairs a crystal structure of Tl2Cd2O5 with its simulated X-ray diffraction stick pattern. Radiation: CuKα. Structure: a DFT-relaxed cell (GGA-PBE, OQMD).

Structure:
Cell: 4.0207 4.0207 8.5921 Å, 90.00 90.00 90.00°
Fractional coordinates of all 9 atoms:
Tl1 0.0000 0.0000 0.0000
Tl2 0.0000 0.0000 0.5000
Cd1 0.5000 0.5000 0.2442
Cd2 0.5000 0.5000 0.7558
O1 0.0000 0.5000 0.1566
O2 0.0000 0.5000 0.8434
O3 0.5000 0.0000 0.1566
O4 0.5000 0.0000 0.8434
O5 0.5000 0.5000 0.5000

The 10 most intense peaks (2θ = 5–70°), by angle:
2θ 30.45, rel. 100
2θ 31.47, rel. 41
2θ 37.95, rel. 7
2θ 42.06, rel. 10
2θ 45.10, rel. 23
2θ 53.46, rel. 26
2θ 55.39, rel. 37
2θ 63.37, rel. 12
2θ 65.68, rel. 7
2θ 69.70, rel. 10

Entry 11:
This entry pairs a crystal structure of Zr2Cd2O5 with its simulated X-ray diffraction stick pattern. Radiation: CuKα. Structure: a DFT-relaxed cell (GGA-PBE, OQMD).

Structure:
Cell: 3.9619 3.9619 8.3292 Å, 90.00 90.00 90.00°
Fractional coordinates of all 9 atoms:
Zr1 0.0000 0.0000 0.2413
Zr2 0.0000 0.0000 0.7587
Cd1 0.5000 0.5000 0.0000
Cd2 0.5000 0.5000 0.5000
O1 0.0000 0.0000 0.0000
O2 0.0000 0.5000 0.3245
O3 0.0000 0.5000 0.6755
O4 0.5000 0.0000 0.3245
O5 0.5000 0.0000 0.6755

The 10 most intense peaks (2θ = 5–70°), by angle:
2θ 31.16, rel. 100
2θ 31.95, rel. 39
2θ 33.76, rel. 2
2θ 38.74, rel. 3
2θ 43.46, rel. 10
2θ 45.80, rel. 26
2θ 54.94, rel. 24
2θ 56.44, rel. 36
2θ 64.98, rel. 12
2θ 66.78, rel. 8

Entry 12:
This entry pairs a crystal structure of Cd2OsPb with its simulated X-ray diffraction stick pattern. Radiation: CuKα. Structure: a DFT-relaxed cell (GGA-PBE, OQMD).

Structure:
Cell: 4.8673 4.8673 4.8673 Å, 60.00 60.00 60.00°
Fractional coordinates of all 4 atoms:
Cd1 0.0000 0.0000 0.0000
Cd2 0.2500 0.2500 0.2500
Os1 0.7500 0.7500 0.7500
Pb1 0.5000 0.5000 0.5000

The 6 most intense peaks (2θ = 5–70°), by angle:
2θ 22.37, rel. 8
2θ 36.94, rel. 100
2θ 43.61, rel. 5
2θ 53.23, rel. 17
2θ 58.44, rel. 2
2θ 66.55, rel. 35